Structure and computed XRD peak list of Li7Mn2Co3O12 (the GGA+U geometry in the Materials Project; Cu Kα, 1.54184 Å).
Intensities are scaled so that the largest is 100.

Main lines, by angle (10 to 90 degrees two-theta):
2θ/deg	d_spacing	Rel. int.	hkl
15.48	5.723	9	0 1 0
18.53	4.787	100	0 1 -1
35.32	2.541	14	-2 1 1
36.40	2.468	14	2 1 0
36.70	2.449	12	0 1 2
42.56	2.124	29	2 -2 0
44.23	2.048	26	2 2 -1
44.75	2.025	25	0 0 3
63.14	1.472	7	4 0 -1
63.47	1.466	14	-2 2 3

Structure:
a b c (Å): 5.8938 5.9080 6.4285
angles (deg): 103.17 103.05 92.10
Sites, in units of the cell vectors:
Li  0.0000  0.0000  0.0000
Li  0.0028  0.4979  0.0037
Li  0.1629  0.1664  0.6704
Li  0.3226  0.8392  0.3245
Li  0.5042  0.4947  0.0008
Li  0.6785  0.1559  0.6666
Li  0.8421  0.8324  0.3242
Mn  0.1624  0.6716  0.6639
Mn  0.5014  0.9980  0.0017
Co  0.3337  0.3283  0.3301
Co  0.6696  0.6643  0.6667
Co  0.8422  0.3255  0.3323
O  0.0852  0.1201  0.3325
O  0.0886  0.5936  0.3458
O  0.2579  0.7525  0.9801
O  0.2788  0.2319  0.0193
O  0.4002  0.9180  0.6805
O  0.4054  0.4483  0.6500
O  0.5872  0.0618  0.3163
O  0.6005  0.5400  0.3511
O  0.7249  0.7602  0.9761
O  0.7402  0.2352  0.0093
O  0.9185  0.8789  0.6619
O  0.9358  0.4213  0.6582

=====

Structure and computed XRD peak list of Li2MnCoO4 (the GGA+U geometry in the Materials Project; Cu Kα, 1.54184 Å).
Intensities are scaled so that the largest is 100.

Main lines, by angle (10 to 90 degrees two-theta):
2θ/deg	d_spacing	Rel. int.	hkl
18.22	4.869	100	0 1 0
34.08	2.631	20	1 0 -2
35.59	2.523	14	1 0 2
36.48	2.463	12	2 -1 0
40.95	2.204	32	1 1 -2
43.27	2.091	27	1 1 2
44.65	2.030	24	2 -2 0
60.89	1.521	8	0 0 4
61.29	1.513	8	2 2 0
62.17	1.493	15	-3 1 2

Structure:
a b c (Å): 5.0474 5.0831 6.0940
angles (deg): 91.47 92.14 106.54
Sites, in units of the cell vectors:
Li  0.2464  0.4979  0.1276
Li  0.2519  0.4996  0.6235
Li  0.7481  0.5004  0.3765
Li  0.7536  0.5021  0.8724
Mn  0.2505  0.0030  0.8744
Mn  0.7495  0.9970  0.1256
Co  0.2508  0.9923  0.3766
Co  0.7492  0.0077  0.6234
O  0.0055  0.7797  0.6319
O  0.0144  0.2425  0.8672
O  0.4830  0.7585  0.3854
O  0.4895  0.2205  0.1214
O  0.5105  0.7795  0.8786
O  0.5170  0.2415  0.6146
O  0.9856  0.7575  0.1328
O  0.9945  0.2203  0.3681